Entry 1:
For Y3Si3Rh2, a crystal structure in the Materials Project, relaxed with GGA-PBE gives the theoretical powder diffractogram in this record (Cu Kα, 1.54184 Å).

Structure:
Unit cell a=4.186 b=10.726 c=13.828 alpha=90.00 beta=90.00 gamma=90.00
Space group Cmcm (No. 63)
Symmetry-distinct sites (fractional):
Y  0.000  0.079  0.115 [8 per cell]
Y  0.000  0.358  0.250 [4 per cell]
Si  0.000  0.334  0.750 [4 per cell]
Si  0.000  0.389  0.038 [8 per cell]
Rh  0.000  0.213  0.582 [8 per cell]

Top 8 peaks for 2θ = 5–70°, in order of rising 2θ:
2theta, I_rel, index
30.02, 47.4, 1 1 3
33.59, 92.5, 1 3 1
34.68, 100.0, 1 1 4
36.56, 31.1, 0 2 5
38.44, 93.0, 1 3 3
38.85, 38.3, 0 4 3
39.09, 36.8, 0 0 6
43.23, 57.4, 2 0 0

Entry 2:
For YSi2Rh2, a crystal structure in the Materials Project, relaxed with GGA-PBE gives the theoretical powder diffractogram in this record (Cu Kα, 1.54184 Å).

Structure:
Unit cell a=4.070 b=4.070 c=10.009 alpha=90.00 beta=90.00 gamma=90.00
Space group I4/mmm (No. 139)
Symmetry-distinct sites (fractional):
Y  0.000  0.000  0.000 [2 per cell]
Si  0.000  0.000  0.378 [4 per cell]
Rh  0.000  0.500  0.250 [4 per cell]

Top 8 peaks for 2θ = 5–70°, in order of rising 2θ:
2theta, I_rel, index
17.72, 22.7, 0 0 2
34.77, 19.7, 1 0 3
35.89, 16.4, 0 0 4
36.00, 100.0, 1 1 2
44.53, 37.7, 2 0 0
48.22, 21.2, 1 1 4
58.46, 15.5, 2 0 4
64.57, 16.4, 1 1 6

Entry 3:
For YSi2Rh3, a crystal structure in the Materials Project, relaxed with GGA-PBE gives the theoretical powder diffractogram in this record (Cu Kα, 1.54184 Å).

Structure:
Unit cell a=5.5308 b=5.5308 c=3.6831 alpha=90.00 beta=90.00 gamma=120.00
Space group P6/mmm (No. 191)
Symmetry-distinct sites (fractional):
Y  0.0000  0.0000  0.0000 [1 per cell]
Si  0.3333  0.6667  0.0000 [2 per cell]
Rh  0.0000  0.5000  0.5000 [3 per cell]

Top 8 peaks for 2θ = 5–70°, in order of rising 2θ:
2theta, I_rel, index
30.62, 68.3, 1 0 1
37.56, 100.0, 2 0 0
40.80, 70.1, 1 1 1
45.16, 53.2, 2 0 1
49.50, 22.3, 0 0 2
56.65, 23.2, 2 1 1
63.75, 41.0, 2 0 2
67.77, 25.5, 2 2 0